This entry pairs a crystal structure of BaNiP2O7 with its calculated X-ray diffraction stick pattern. Radiation: Cu Kα, 1.54184 Å. Structure: DFT lattice parameters and positions (GGA+U).
Neutral-atom scattering factors, no anomalous dispersion.

Most intense lines, 15° ≤ 2θ ≤ 90°, low angle first:
d [Å]	Position (°2θ)	I/Imax
3.880	22.92	44
3.647	24.40	86
3.375	26.41	35
3.143	28.40	36
3.085	28.94	73
3.028	29.49	100
2.988	29.91	81
2.762	32.41	41
2.655	33.76	44
2.223	40.59	38

Structure:
abc: 5.3380 7.5040 7.6866
angles: 102.37 91.91 95.07
Space group P-1 (No. 2)
Symmetry-distinct sites (fractional):
Ba 0.1946 0.2793 0.4354
Ni 0.1789 0.1211 0.9024
P 0.2945 0.6987 0.8976
P 0.3114 0.7699 0.2809
O 0.0924 0.8935 0.2969
O 0.1077 0.8513 0.9097
O 0.2086 0.5371 0.7495
O 0.2697 0.6317 0.0847
O 0.2993 0.6516 0.4189
O 0.4291 0.1213 0.7109
O 0.4316 0.2211 0.1080